[1]
For Na2CrHF6, a crystal structure in Alexandria, relaxed with PBE+U gives the calculated powder diffraction line list in this record (CuKα).
Lines closer than 0.1° are merged.

Atomic structure:
Cell: 5.1702 4.4155 11.6575 Å, 90.00 115.70 90.00°
Space group P2_1/c (No. 14)
Symmetry-distinct sites (fractional):
Na  0.2028  0.0055  0.2027 [4 per cell]
Cr  0.5000  0.0000  0.0000 [2 per cell]
H  0.0000  0.0000  0.5000 [2 per cell]
F  0.1410  0.2162  0.5001 [4 per cell]
F  0.2147  0.7250  0.3644 [4 per cell]
F  0.4786  0.7297  0.6340 [4 per cell]

Peak list (10 most intense, 15 to 90 degrees two-theta, sorted by position)
| 2θ (°) | intensity | hkl |
| --- | --- | --- |
| 16.88 | 48 | 0 0 2 |
| 19.05 | 31 | 1 0 0 |
| 21.83 | 100 | 0 1 1 |
| 31.52 | 89 | 1 1 1 |
| 31.73 | 90 | 1 1 -3 |
| 36.96 | 37 | 1 1 2 |
| 37.23 | 38 | 1 1 -4 |
| 40.43 | 52 | 2 1 -2 |
| 51.96 | 40 | 1 2 2 |
| 52.19 | 57 | 1 2 -4 |


[2]
For CdNiP4O12, a crystal structure in Alexandria, relaxed with PBE+U gives the calculated powder diffraction line list in this record (CuKα).
Lines closer than 0.1° are merged.

Atomic structure:
Cell: 12.1562 8.6799 9.9534 Å, 90.00 117.65 90.00°
Space group C2/c (No. 15)
Symmetry-distinct sites (fractional):
Cd  0.0000  0.0487  0.2500 [4 per cell]
Ni  0.2500  0.2500  0.5000 [4 per cell]
P  0.0051  0.2748  0.9726 [8 per cell]
P  0.1907  0.4986  0.1966 [8 per cell]
O  0.0453  0.1354  0.9218 [8 per cell]
O  0.0580  0.2561  0.4269 [8 per cell]
O  0.0827  0.3795  0.6724 [8 per cell]
O  0.1257  0.3825  0.0554 [8 per cell]
O  0.2122  0.0851  0.3303 [8 per cell]
O  0.2320  0.4195  0.3440 [8 per cell]

Peak list (10 most intense, 15 to 90 degrees two-theta, sorted by position)
| 2θ (°) | intensity | hkl |
| --- | --- | --- |
| 16.46 | 12 | 2 0 0 |
| 20.60 | 61 | 1 1 -2 |
| 25.77 | 42 | 3 1 -2 |
| 26.88 | 42 | 3 1 0 |
| 28.87 | 100 | 0 2 2 |
| 30.80 | 21 | 3 1 -3 |
| 33.28 | 26 | 4 0 0 |
| 36.42 | 28 | 4 2 -2 |
| 41.86 | 29 | 1 3 -3 |
| 54.30 | 13 | 7 1 -2 |